Entry 1:
Diffraction record for Ba2MgWN4. The powder XRD pattern is calculated, not measured: it uses a DFT-relaxed cell (PBE, Alexandria) and a wavelength of 1.5418 Å.
Neutral-atom scattering factors, no anomalous dispersion.

Largest 12 diffraction maxima, sorted by position, 2θ from 10° to 80°:
two_theta  I_rel
18.1  23
18.9  24
27.1  31
29.1  37
31.6  100
34.5  9
40.2  28
50.0  10
50.8  17
53.2  23
58.9  12
66.0  12

Crystal structure
```
data_Ba2MgWN4
_chemical_formula_sum 'Ba4 Mg2 W2 N8'
_space_group_name_H-M_alt 'P m m n'
_space_group_IT_number 59
_cell_length_a 6.1371
_cell_length_b 7.3002
_cell_length_c 6.5846
_cell_angle_alpha 90.00
_cell_angle_beta 90.00
_cell_angle_gamma 90.00
loop_
_space_group_symop_operation_xyz
'x,y,z'
'-x,-y,-z'
'-x+1/2,-y+1/2,z'
'x+1/2,y+1/2,-z'
'x+1/2,-y,-z'
'-x+1/2,y,z'
'-x,y+1/2,-z'
'x,-y+1/2,z'
loop_
_atom_site_label
_atom_site_type_symbol
_atom_site_fract_x
_atom_site_fract_y
_atom_site_fract_z
Ba1 Ba 0.2500 0.0000 0.2467
Mg1 Mg 0.2500 0.2500 0.6926
W1 W 0.2500 0.7500 0.6875
N1 N 0.0071 0.7500 0.5144
N2 N 0.2500 0.5241 0.8343
```

Entry 2:
Diffraction record for Ho2TiS6. The powder XRD pattern is calculated, not measured: it uses a DFT-relaxed cell (PBE, Alexandria) and a wavelength of 1.5418 Å.
Neutral-atom scattering factors, no anomalous dispersion.

Largest 12 diffraction maxima, sorted by position, 2θ from 10° to 80°:
two_theta  I_rel
18.7  61
20.8  82
21.7  46
22.5  82
27.6  100
30.0  50
31.4  35
36.5  35
38.6  39
40.5  43
41.0  48
41.9  47

Crystal structure
```
data_Ho2TiS6
_chemical_formula_sum 'Ho4 Ti2 S12'
_space_group_name_H-M_alt 'P 1 21/c 1'
_space_group_IT_number 14
_cell_length_a 6.4636
_cell_length_b 7.0246
_cell_length_c 9.8757
_cell_angle_alpha 90.00
_cell_angle_beta 123.91
_cell_angle_gamma 90.00
loop_
_space_group_symop_operation_xyz
'x,y,z'
'-x,-y,-z'
'-x,y+1/2,-z+1/2'
'x,-y+1/2,z+1/2'
loop_
_atom_site_label
_atom_site_type_symbol
_atom_site_fract_x
_atom_site_fract_y
_atom_site_fract_z
Ho1 Ho 0.2018 0.1286 0.2303
Ti1 Ti 0.5000 0.0000 0.0000
S1 S 0.1172 0.1639 0.9255
S2 S 0.2951 0.6871 0.9636
S3 S 0.3737 0.0096 0.7220
```

Entry 3:
Diffraction record for V3Co4. The powder XRD pattern is calculated, not measured: it uses a DFT-relaxed cell (PBE, Alexandria) and a wavelength of 1.5418 Å.
Neutral-atom scattering factors, no anomalous dispersion.

Largest 12 diffraction maxima, sorted by position, 2θ from 10° to 80°:
two_theta  I_rel
31.3  3
38.1  5
39.4  6
41.7  10
44.5  100
45.2  80
46.3  6
51.5  9
57.2  4
65.3  19
67.9  3
79.0  4

Crystal structure
```
data_V3Co4
_chemical_formula_sum 'V18 Co24'
_space_group_name_H-M_alt 'R -3'
_space_group_IT_number 148
_space_group_name_Hall '-R 3'
_cell_length_a 10.7650
_cell_length_b 10.7650
_cell_length_c 4.8874
_cell_angle_alpha 90.00
_cell_angle_beta 90.00
_cell_angle_gamma 120.00
loop_
_atom_site_label
_atom_site_type_symbol
_atom_site_fract_x
_atom_site_fract_y
_atom_site_fract_z
V1 V 0.0436 0.8214 0.2216
Co1 Co 0.0000 0.0000 0.0000
Co2 Co 0.0000 0.0000 0.5000
Co3 Co 0.0474 0.7907 0.7125
```

Entry 4:
Diffraction record for Cu2H4Pd5. The powder XRD pattern is calculated, not measured: it uses a DFT-relaxed cell (PBE, Alexandria) and a wavelength of 1.5418 Å.
Neutral-atom scattering factors, no anomalous dispersion.

Largest 12 diffraction maxima, sorted by position, 2θ from 10° to 80°:
two_theta  I_rel
30.4  18
37.7  33
37.8  24
38.6  73
39.2  100
39.5  46
40.8  43
41.1  37
41.9  58
65.5  16
74.1  16
79.2  16

Crystal structure
```
data_Cu2H4Pd5
_chemical_formula_sum 'Cu2 H4 Pd5'
_space_group_name_H-M_alt 'P -1'
_space_group_IT_number 2
_cell_length_a 2.8484
_cell_length_b 6.7312
_cell_length_c 7.1625
_cell_angle_alpha 61.99
_cell_angle_beta 79.11
_cell_angle_gamma 78.08
loop_
_space_group_symop_operation_xyz
'x,y,z'
'-x,-y,-z'
loop_
_atom_site_label
_atom_site_type_symbol
_atom_site_fract_x
_atom_site_fract_y
_atom_site_fract_z
Cu1 Cu 0.0796 0.2856 0.0863
H1 H 0.1507 0.3696 0.8119
H2 H 0.4056 0.1671 0.5307
Pd1 Pd 0.0000 0.0000 0.5000
Pd2 Pd 0.2905 0.1006 0.8067
Pd3 Pd 0.3728 0.4537 0.3196
```

Entry 5:
Diffraction record for ZrCrAgS4. The powder XRD pattern is calculated, not measured: it uses a DFT-relaxed cell (PBE, Alexandria) and a wavelength of 1.5418 Å.
Neutral-atom scattering factors, no anomalous dispersion.

Largest 12 diffraction maxima, sorted by position, 2θ from 10° to 80°:
two_theta  I_rel
15.9  57
16.2  40
25.5  55
28.6  77
29.2  37
32.0  27
40.1  64
40.3  51
40.5  100
41.1  28
50.3  30
51.4  61

Crystal structure
```
data_ZrCrAgS4
_chemical_formula_sum 'Zr2 Cr2 Ag2 S8'
_space_group_name_H-M_alt 'P 1 2/m 1'
_space_group_IT_number 10
_cell_length_a 6.1163
_cell_length_b 3.6247
_cell_length_c 12.8725
_cell_angle_alpha 90.00
_cell_angle_beta 90.98
_cell_angle_gamma 90.00
loop_
_space_group_symop_operation_xyz
'x,y,z'
'-x,-y,-z'
'-x,y,-z'
'x,-y,z'
loop_
_atom_site_label
_atom_site_type_symbol
_atom_site_fract_x
_atom_site_fract_y
_atom_site_fract_z
Zr1 Zr 0.0025 0.0000 0.2516
Cr1 Cr 0.4741 0.5000 0.2454
Ag1 Ag 0.0000 0.0000 0.0000
Ag2 Ag 0.5000 0.5000 0.5000
S1 S 0.1656 0.5000 0.3677
S2 S 0.1981 0.5000 0.8597
S3 S 0.3322 0.0000 0.1361
S4 S 0.3660 0.0000 0.6501
```

Entry 6:
Diffraction record for HoCdTeO6. The powder XRD pattern is calculated, not measured: it uses a DFT-relaxed cell (PBE, Alexandria) and a wavelength of 1.5418 Å.
Neutral-atom scattering factors, no anomalous dispersion.

Largest 12 diffraction maxima, sorted by position, 2θ from 10° to 80°:
two_theta  I_rel
25.0  100
32.2  84
35.7  24
48.8  67
51.4  17
54.9  7
58.0  16
61.3  16
61.9  20
67.3  9
73.6  15
78.5  9

Crystal structure
```
data_HoCdTeO6
_chemical_formula_sum 'Ho2 Cd2 Te2 O12'
_space_group_name_H-M_alt 'P 42 n m'
_space_group_IT_number 102
_cell_length_a 5.0308
_cell_length_b 5.0308
_cell_length_c 10.0280
_cell_angle_alpha 90.00
_cell_angle_beta 90.00
_cell_angle_gamma 90.00
loop_
_space_group_symop_operation_xyz
'x,y,z'
'-y+1/2,x+1/2,z+1/2'
'-x,-y,z'
'y+1/2,-x+1/2,z+1/2'
'-x+1/2,y+1/2,z+1/2'
'y,x,z'
'x+1/2,-y+1/2,z+1/2'
'-y,-x,z'
loop_
_atom_site_label
_atom_site_type_symbol
_atom_site_fract_x
_atom_site_fract_y
_atom_site_fract_z
Ho1 Ho 0.0000 0.0000 0.0000
Cd1 Cd 0.0000 0.0000 0.3305
Te1 Te 0.0000 0.0000 0.6651
O1 O 0.1799 0.1799 0.8115
O2 O 0.1869 0.1869 0.5235
O3 O 0.2262 0.2262 0.1578
```

Entry 7:
Diffraction record for K2NpSiN4. The powder XRD pattern is calculated, not measured: it uses a DFT-relaxed cell (PBE, Alexandria) and a wavelength of 1.5418 Å.
Neutral-atom scattering factors, no anomalous dispersion.

Largest 12 diffraction maxima, sorted by position, 2θ from 10° to 80°:
two_theta  I_rel
18.4  79
19.4  75
20.1  66
27.2  40
29.8  39
32.3  100
33.6  50
35.3  30
40.5  19
40.8  35
54.5  23
67.7  19

Crystal structure
```
data_K2NpSiN4
_chemical_formula_sum 'K4 Np2 Si2 N8'
_space_group_name_H-M_alt 'P m m n'
_space_group_IT_number 59
_cell_length_a 5.9953
_cell_length_b 7.0948
_cell_length_c 6.5592
_cell_angle_alpha 90.00
_cell_angle_beta 90.00
_cell_angle_gamma 90.00
loop_
_space_group_symop_operation_xyz
'x,y,z'
'-x,-y,-z'
'-x+1/2,-y+1/2,z'
'x+1/2,y+1/2,-z'
'x+1/2,-y,-z'
'-x+1/2,y,z'
'-x,y+1/2,-z'
'x,-y+1/2,z'
loop_
_atom_site_label
_atom_site_type_symbol
_atom_site_fract_x
_atom_site_fract_y
_atom_site_fract_z
K1 K 0.2500 0.0186 0.2383
Np1 Np 0.2500 0.2500 0.7270
Si1 Si 0.2500 0.7500 0.6288
N1 N 0.0132 0.7500 0.4709
N2 N 0.2500 0.5370 0.7734
```

Entry 8:
Diffraction record for CdSe2O6. The powder XRD pattern is calculated, not measured: it uses a DFT-relaxed cell (PBE, Alexandria) and a wavelength of 1.5418 Å.
Neutral-atom scattering factors, no anomalous dispersion.

Largest 12 diffraction maxima, sorted by position, 2θ from 10° to 80°:
two_theta  I_rel
16.4  60
19.3  57
22.5  34
26.3  100
29.1  58
29.6  76
31.8  28
32.1  26
34.4  35
43.3  23
44.4  29
50.5  25

Crystal structure
```
data_CdSe2O6
_chemical_formula_sum 'Cd4 Se8 O24'
_space_group_name_H-M_alt 'C 1 2/c 1'
_space_group_IT_number 15
_cell_length_a 10.6659
_cell_length_b 9.2124
_cell_length_c 6.8352
_cell_angle_alpha 90.00
_cell_angle_beta 116.11
_cell_angle_gamma 90.00
loop_
_space_group_symop_operation_xyz
'x,y,z'
'-x,-y,-z'
'-x,y,-z+1/2'
'x,-y,z+1/2'
'x+1/2,y+1/2,z'
'-x+1/2,-y+1/2,-z'
'-x+1/2,y+1/2,-z+1/2'
'x+1/2,-y+1/2,z+1/2'
loop_
_atom_site_label
_atom_site_type_symbol
_atom_site_fract_x
_atom_site_fract_y
_atom_site_fract_z
Cd1 Cd 0.0000 0.0973 0.2500
Se1 Se 0.1943 0.4278 0.2389
O1 O 0.1270 0.0660 0.6361
O2 O 0.1414 0.4886 0.4805
O3 O 0.1535 0.2515 0.2035
```

Q: Number 8 is which compound?
A: CdSe2O6